1.
Starting from a structure optimized by DFT (GGA-PBE), the XRD peak list of Dy3Tm4Te2Pd2 was simulated for Cu Kα (λ = 1.5418 Å).
Neutral-atom scattering factors, no anomalous dispersion.

a = 3.911 Å, b = 15.637 Å, c = 9.579 Å
α = 90.00°, β = 90.00°, γ = 90.00°
Space group Imm2 (No. 44)
Unique sites:
1 Dy 0.000 0.000 0.000 (multiplicity 2)
2 Dy 0.000 0.129 0.582 (multiplicity 4)
3 Tm 0.000 0.317 0.375 (multiplicity 4)
4 Tm 0.000 0.355 0.734 (multiplicity 4)
5 Te 0.000 0.000 0.334 (multiplicity 2)
6 Te 0.000 0.500 0.237 (multiplicity 2)
7 Pd 0.000 0.236 0.070 (multiplicity 4)

Top 10 peaks for 2θ from 15° to 90°, sorted by position:
28.5 deg, d = 3.128 Å, rel. 33.1
30.1 deg, d = 2.974 Å, rel. 70.3
32.9 deg, d = 2.723 Å, rel. 61.1
33.7 deg, d = 2.656 Å, rel. 100.0
34.2 deg, d = 2.619 Å, rel. 47.7
36.3 deg, d = 2.473 Å, rel. 22.3
38.2 deg, d = 2.358 Å, rel. 22.6
46.4 deg, d = 1.955 Å, rel. 34.5
50.8 deg, d = 1.798 Å, rel. 19.6
58.1 deg, d = 1.588 Å, rel. 31.4

---

2.
Starting from a structure optimized by DFT (GGA-PBE), the XRD peak list of TmBNO was simulated for Cu Kα (λ = 1.5418 Å).
Neutral-atom scattering factors, no anomalous dispersion.

a = 2.784 Å, b = 4.958 Å, c = 5.787 Å
α = 90.00°, β = 90.00°, γ = 90.00°
Space group Pmc2_1 (No. 26)
Unique sites:
1 Tm 0.000 0.196 0.000 (multiplicity 2)
2 B 0.500 0.313 0.489 (multiplicity 2)
3 N 0.000 0.350 0.384 (multiplicity 2)
4 O 0.500 0.128 0.687 (multiplicity 2)

Top 10 peaks for 2θ from 15° to 90°, sorted by position:
23.6 deg, d = 3.765 Å, rel. 100.0
30.9 deg, d = 2.893 Å, rel. 38.3
32.2 deg, d = 2.784 Å, rel. 30.7
36.2 deg, d = 2.479 Å, rel. 18.2
39.6 deg, d = 2.279 Å, rel. 19.2
40.3 deg, d = 2.238 Å, rel. 72.4
45.2 deg, d = 2.006 Å, rel. 29.9
50.8 deg, d = 1.798 Å, rel. 19.7
51.9 deg, d = 1.763 Å, rel. 17.1
61.4 deg, d = 1.510 Å, rel. 20.5

---

3.
Starting from a structure optimized by DFT (GGA-PBE), the XRD peak list of NaSmHgS3 was simulated for Cu Kα (λ = 1.5418 Å).
Neutral-atom scattering factors, no anomalous dispersion.

a = 14.452 Å, b = 4.096 Å, c = 11.257 Å
α = 90.00°, β = 90.00°, γ = 90.00°
Space group Pnma (No. 62)
Unique sites:
1 Na 0.209 0.250 0.198 (multiplicity 4)
2 Sm 0.039 0.750 0.853 (multiplicity 4)
3 Hg 0.054 0.250 0.602 (multiplicity 4)
4 S 0.064 0.250 0.372 (multiplicity 4)
5 S 0.086 0.750 0.088 (multiplicity 4)
6 S 0.163 0.250 0.775 (multiplicity 4)

Top 10 peaks for 2θ from 15° to 90°, sorted by position:
25.9 deg, d = 3.440 Å, rel. 24.4
27.6 deg, d = 3.228 Å, rel. 100.0
29.7 deg, d = 3.007 Å, rel. 78.5
31.8 deg, d = 2.814 Å, rel. 25.6
32.8 deg, d = 2.729 Å, rel. 37.2
34.2 deg, d = 2.622 Å, rel. 36.7
37.5 deg, d = 2.399 Å, rel. 24.3
39.0 deg, d = 2.311 Å, rel. 46.6
44.2 deg, d = 2.048 Å, rel. 23.0
46.0 deg, d = 1.971 Å, rel. 22.7